# NbTe4Cl4O
Simulated powder XRD pattern, a wavelength of 1.5418 Å. Input: a GGA-PBE-relaxed structure.
Intensities are scaled so that the largest is 1000.

Structural model:
Unit cell a=8.142 b=12.492 c=12.943 alpha=81.25 beta=82.18 gamma=78.72
Positions (direct):
Nb 0.056 0.258 0.274
Nb 0.443 0.741 0.732
Nb 0.557 0.259 0.268
Nb 0.944 0.742 0.726
Te 0.067 0.746 0.083
Te 0.223 0.768 0.384
Te 0.231 0.343 0.877
Te 0.243 0.627 0.241
Te 0.251 0.159 0.642
Te 0.275 0.368 0.656
Te 0.435 0.922 0.280
Te 0.482 0.150 0.915
Te 0.518 0.850 0.085
Te 0.565 0.078 0.720
Te 0.725 0.632 0.344
Te 0.749 0.841 0.358
Te 0.757 0.373 0.759
Te 0.769 0.657 0.123
Te 0.777 0.232 0.616
Te 0.933 0.254 0.917
Cl 0.040 0.370 0.410
Cl 0.082 0.417 0.141
Cl 0.093 0.096 0.399
Cl 0.149 0.142 0.133
Cl 0.326 0.879 0.847
Cl 0.382 0.887 0.587
Cl 0.430 0.601 0.879
Cl 0.487 0.606 0.612
Cl 0.513 0.394 0.388
Cl 0.570 0.399 0.121
Cl 0.618 0.113 0.413
Cl 0.674 0.121 0.153
Cl 0.851 0.858 0.867
Cl 0.907 0.904 0.601
Cl 0.918 0.583 0.859
Cl 0.960 0.630 0.590
O 0.164 0.732 0.729
O 0.341 0.249 0.270
O 0.659 0.751 0.730
O 0.836 0.268 0.271

Main lines, low angle first (2θ = 15–90°):
Position (°2θ)	I/Imax	index
21.3	663	0 1 3
24.2	977	2 2 1
24.4	468	2 1 -1
24.5	495	2 1 2
25.4	490	2 -1 1
26.7	722	2 2 -1
27.8	846	2 -1 2
28.1	564	0 0 4
28.5	1000	0 3 3
32.5	438	0 3 -3
38.3	406	-1 4 3
44.6	373	4 1 1